Tb5CdNi: computed powder diffractogram (a wavelength of 1.5418 Å), based on a PBE-relaxed structure.
No peak broadening, texture or thermal motion is included.

Most intense lines, 10° ≤ 2θ ≤ 90°, in order of falling intensity:
| Position (°2θ) | Rel. int. |
| --- | --- |
| 31.98 | 100 |
| 30.99 | 98 |
| 28.14 | 76 |
| 31.53 | 68 |
| 32.10 | 65 |
| 33.66 | 49 |

Structural model:
```
Tb5CdNi
1.0
5.3723 -3.4319 0.0000
5.3723 3.4319 0.0000
-3.9340 0.0000 10.7119
Tb Cd Ni
10 2 2
direct
0.0022 0.9978 0.7500 Tb
0.0475 0.4049 0.1361 Tb
0.2023 0.5470 0.4497 Tb
0.4049 0.0475 0.6361 Tb
0.4530 0.7977 0.0503 Tb
0.5470 0.2023 0.9497 Tb
0.5951 0.9525 0.3639 Tb
0.7977 0.4530 0.5503 Tb
0.9525 0.5951 0.8639 Tb
0.9978 0.0022 0.2500 Tb
0.4633 0.5367 0.7500 Cd
0.5367 0.4633 0.2500 Cd
0.0000 0.0000 0.0000 Ni
0.0000 0.0000 0.5000 Ni
```

=====

Ti3HAu: computed powder diffractogram (a wavelength of 1.5418 Å), based on a PBE-relaxed structure.
No peak broadening, texture or thermal motion is included.

Most intense lines, 10° ≤ 2θ ≤ 90°, in order of falling intensity:
| Position (°2θ) | Rel. int. |
| --- | --- |
| 38.14 | 100 |
| 21.75 | 57 |
| 30.95 | 53 |
| 44.33 | 49 |
| 77.46 | 36 |
| 64.49 | 31 |

Structural model:
```
Ti3HAu
1.0
4.0866 0.0000 0.0000
0.0000 4.0866 0.0000
0.0000 0.0000 4.0866
Ti H Au
3 1 1
direct
0.0000 0.0000 0.5000 Ti
0.0000 0.5000 0.0000 Ti
0.5000 0.0000 0.0000 Ti
0.0000 0.0000 0.0000 H
0.5000 0.5000 0.5000 Au
```

=====

LaTb4Tl7: computed powder diffractogram (a wavelength of 1.5418 Å), based on a PBE-relaxed structure.
No peak broadening, texture or thermal motion is included.

Most intense lines, 10° ≤ 2θ ≤ 90°, in order of falling intensity:
| Position (°2θ) | Rel. int. |
| --- | --- |
| 30.73 | 100 |
| 34.25 | 100 |
| 37.37 | 61 |
| 31.16 | 53 |
| 44.33 | 41 |
| 36.93 | 38 |

Structural model:
```
LaTb4Tl7
1.0
6.6862 -2.9096 0.0000
6.6862 2.9096 0.0000
-6.5401 0.0000 9.6018
La Tb Tl
1 4 7
direct
0.0000 0.0000 0.0000 La
0.2782 0.2782 0.6694 Tb
0.4132 0.4132 0.2175 Tb
0.5868 0.5868 0.7825 Tb
0.7218 0.7218 0.3306 Tb
0.0783 0.0783 0.3293 Tl
0.2157 0.2157 0.8946 Tl
0.3649 0.3649 0.4550 Tl
0.5000 0.5000 0.0000 Tl
0.6351 0.6351 0.5450 Tl
0.7843 0.7843 0.1054 Tl
0.9217 0.9217 0.6707 Tl
```